[1]
Diffraction record for GaHPd3. The PXRD pattern is calculated, not measured: it uses the GGA-PBE geometry in Alexandria and Cu Kα X-rays.
No peak broadening, texture or thermal motion is included.

Unit cell a=2.9402 b=7.9200 c=5.5836 alpha=90.00 beta=105.20 gamma=90.00
Space group P2_1 (No. 4)
Inequivalent atoms, fractional coordinates:
Ga 0.2411 0.0000 0.4818 x2
H 0.4997 0.2489 0.0006 x2
Pd 0.1333 0.2934 0.2660 x2
Pd 0.1333 0.7066 0.2658 x2
Pd 0.4594 0.5000 0.9204 x2

The 12 most intense peaks (10 to 90 degrees two-theta), low angle first:
Position (°2θ)	I (rel.)
37.95	51
39.06	100
39.61	69
40.50	87
41.28	56
45.83	25
47.02	31
52.22	15
62.15	15
63.25	19
72.74	23
77.85	25

[2]
Diffraction record for GaHPd3. The PXRD pattern is calculated, not measured: it uses the GGA-PBE geometry in Alexandria and Cu Kα X-rays.
No peak broadening, texture or thermal motion is included.

Unit cell a=5.5858 b=5.5858 c=4.0466 alpha=90.00 beta=90.00 gamma=90.00
Space group P4/mbm (No. 127)
Inequivalent atoms, fractional coordinates:
Ga 0.0000 0.5000 0.0000 x2
H 0.0000 0.0000 0.5000 x2
Pd 0.0000 0.0000 0.0000 x2
Pd 0.2063 0.2937 0.5000 x4

The 12 most intense peaks (10 to 90 degrees two-theta), low angle first:
Position (°2θ)	I (rel.)
35.95	11
39.19	100
42.53	14
44.79	20
45.95	27
58.72	5
66.12	18
67.02	6
73.75	8
78.79	12
80.47	12
84.25	6

[3]
Diffraction record for GaHPd3. The PXRD pattern is calculated, not measured: it uses the GGA-PBE geometry in Alexandria and Cu Kα X-rays.
No peak broadening, texture or thermal motion is included.

Unit cell a=10.4687 b=10.4687 c=10.4687 alpha=90.00 beta=90.00 gamma=90.00
Space group Fd-3m (No. 227, origin choice 2)
Inequivalent atoms, fractional coordinates:
Ga 0.0000 0.0000 0.0000 x16
H 0.0000 0.0000 0.5000 x16
Pd 0.0737 0.3750 0.8750 x48

The 12 most intense peaks (10 to 90 degrees two-theta), low angle first:
Position (°2θ)	I (rel.)
14.66	24
24.04	34
34.26	47
37.45	95
42.29	73
45.00	100
49.24	67
63.46	23
68.89	19
74.14	32
77.34	50
79.25	19